Entry 1:
This entry pairs a crystal structure of Pr4Al4O11 with its simulated X-ray diffraction stick pattern. Radiation: Cu Kα. Structure: a DFT-relaxed cell (PBE, OQMD).
Intensities are scaled so that the largest is 1000.

Peak list (8 most intense, 2θ = 10–90°, in order of falling intensity)
- 2θ = 33.7°, d 2.656, rel. 1000, hkl 1 2 1
- 2θ = 23.6°, d 3.773, rel. 424, hkl 1 0 1
- 2θ = 48.2°, d 1.886, rel. 261, hkl 2 0 2
- 2θ = 41.7°, d 2.167, rel. 229, hkl 2 2 0
- 2θ = 41.5°, d 2.176, rel. 226, hkl 0 2 2
- 2θ = 33.5°, d 2.676, rel. 180, hkl 0 0 2
- 2θ = 23.8°, d 3.738, rel. 176, hkl 0 2 0
- 2θ = 60.0°, d 1.541, rel. 166, hkl 1 2 3

Cell and atoms:
```
data_Pr4Al4O11
_cell_length_a 5.3193
_cell_length_b 7.4755
_cell_length_c 5.3522
_cell_angle_alpha 90.00
_cell_angle_beta 90.02
_cell_angle_gamma 90.00
_space_group_name_H-M_alt 'P 1 m 1'
_space_group_IT_number 6
loop_
_space_group_symop_operation_xyz
'x,y,z'
'x,-y,z'
loop_
_atom_site_label
_atom_site_type_symbol
_atom_site_fract_x
_atom_site_fract_y
_atom_site_fract_z
_atom_site_occupancy
Pr1 Pr 0.0000 0.0000 0.0000 1
Pr2 Pr 0.0044 0.5000 0.9970 1
Pr3 Pr 0.5002 0.0000 0.5009 1
Pr4 Pr 0.5043 0.5000 0.5003 1
Al1 Al 0.0022 0.2487 0.4982 1
Al2 Al 0.5021 0.2480 0.9999 1
O1 O 0.0009 0.5000 0.4519 1
O2 O 0.0033 0.0000 0.5466 1
O3 O 0.2498 0.2254 0.2455 1
O4 O 0.2559 0.2735 0.7461 1
O5 O 0.5021 0.5000 0.0466 1
O6 O 0.7488 0.2248 0.2511 1
O7 O 0.7539 0.2728 0.7515 1
```


Entry 2:
This entry pairs a crystal structure of HfSe4Cl6 with its simulated X-ray diffraction stick pattern. Radiation: Cu Kα. Structure: a DFT-relaxed cell (PBE, OQMD).
Intensities are scaled so that the largest is 1000.

Peak list (8 most intense, 2θ = 10–90°, in order of falling intensity)
- 2θ = 16.1°, d 5.493, rel. 1000, hkl 2 0 0
- 2θ = 16.7°, d 5.320, rel. 877, hkl 0 0 2
- 2θ = 42.8°, d 2.112, rel. 744, hkl 5 1 1
- 2θ = 23.3°, d 3.821, rel. 602, hkl 2 0 2
- 2θ = 36.2°, d 2.482, rel. 566, hkl 3 1 3
- 2θ = 27.0°, d 3.303, rel. 466, hkl 3 1 1
- 2θ = 28.5°, d 3.137, rel. 278, hkl 2 2 2
- 2θ = 49.5°, d 1.841, rel. 229, hkl 5 1 3

Cell and atoms:
```
data_HfSe4Cl6
_cell_length_a 10.9863
_cell_length_b 10.9863
_cell_length_c 10.6393
_cell_angle_alpha 90.00
_cell_angle_beta 90.00
_cell_angle_gamma 90.00
_space_group_name_H-M_alt 'P 42/n c m'
_space_group_IT_number 138
loop_
_space_group_symop_operation_xyz
'x,y,z'
'-x,-y,-z'
'-y+1/2,x,z+1/2'
'y+1/2,-x,-z+1/2'
'-x+1/2,-y+1/2,z'
'x+1/2,y+1/2,-z'
'y,-x+1/2,z+1/2'
'-y,x+1/2,-z+1/2'
'x+1/2,-y,-z+1/2'
'-x+1/2,y,z+1/2'
'-y,-x,-z'
'y,x,z'
'-x,y+1/2,-z+1/2'
'x,-y+1/2,z+1/2'
'y+1/2,x+1/2,-z'
'-y+1/2,-x+1/2,z'
loop_
_atom_site_label
_atom_site_type_symbol
_atom_site_fract_x
_atom_site_fract_y
_atom_site_fract_z
_atom_site_occupancy
Hf1 Hf 0.0000 0.0000 0.0000 1
Se1 Se 0.0916 0.0916 0.4196 1
Se2 Se 0.1056 0.6056 0.0000 1
Cl1 Cl 0.0566 0.6685 0.6438 1
Cl2 Cl 0.1348 0.1348 0.1145 1
```


Entry 3:
This entry pairs a crystal structure of Er2SnAu2 with its simulated X-ray diffraction stick pattern. Radiation: Cu Kα. Structure: a DFT-relaxed cell (PBE, OQMD).
Intensities are scaled so that the largest is 1000.

Peak list (8 most intense, 2θ = 10–90°, in order of falling intensity)
- 2θ = 35.1°, d 2.556, rel. 1000, hkl 2 1 2
- 2θ = 36.1°, d 2.487, rel. 417, hkl 3 1 0
- 2θ = 33.2°, d 2.702, rel. 182, hkl 2 0 2
- 2θ = 62.3°, d 1.489, rel. 141, hkl 3 1 4
- 2θ = 15.9°, d 5.561, rel. 138, hkl 1 1 0
- 2θ = 69.1°, d 1.359, rel. 136, hkl 5 2 2
- 2θ = 49.0°, d 1.860, rel. 109, hkl 0 0 4
- 2θ = 41.4°, d 2.181, rel. 94, hkl 3 2 0

Cell and atoms:
```
data_Er2SnAu2
_cell_length_a 7.8639
_cell_length_b 7.8639
_cell_length_c 7.4396
_cell_angle_alpha 90.00
_cell_angle_beta 90.00
_cell_angle_gamma 90.00
_space_group_name_H-M_alt 'P 42/m n m'
_space_group_IT_number 136
_space_group_name_Hall '-P 4n 2n'
loop_
_atom_site_label
_atom_site_type_symbol
_atom_site_fract_x
_atom_site_fract_y
_atom_site_fract_z
_atom_site_occupancy
Er1 Er 0.1569 0.1569 0.0000 1
Er2 Er 0.1837 0.1837 0.5000 1
Sn1 Sn 0.0000 0.5000 0.2500 1
Au1 Au 0.1281 0.8719 0.2782 1
```


Entry 4:
This entry pairs a crystal structure of Ta17Al12 with its simulated X-ray diffraction stick pattern. Radiation: Cu Kα. Structure: a DFT-relaxed cell (PBE, OQMD).
Intensities are scaled so that the largest is 1000.

Peak list (8 most intense, 2θ = 10–90°, in order of falling intensity)
- 2θ = 38.3°, d 2.350, rel. 1000, hkl 3 3 0
- 2θ = 21.8°, d 4.071, rel. 280, hkl 2 1 1
- 2θ = 69.2°, d 1.357, rel. 244, hkl 6 3 3
- 2θ = 44.5°, d 2.035, rel. 116, hkl 4 2 2
- 2θ = 55.3°, d 1.662, rel. 94, hkl 6 0 0
- 2θ = 36.0°, d 2.493, rel. 75, hkl 4 0 0
- 2θ = 12.6°, d 7.050, rel. 73, hkl 1 1 0
- 2θ = 42.5°, d 2.126, rel. 70, hkl 3 3 2

Cell and atoms:
```
data_Ta17Al12
_cell_length_a 9.9707
_cell_length_b 9.9707
_cell_length_c 9.9707
_cell_angle_alpha 90.00
_cell_angle_beta 90.00
_cell_angle_gamma 90.00
_space_group_name_H-M_alt 'I -4 3 m'
_space_group_IT_number 217
_space_group_name_Hall 'I -4 2 3'
loop_
_atom_site_label
_atom_site_type_symbol
_atom_site_fract_x
_atom_site_fract_y
_atom_site_fract_z
_atom_site_occupancy
Ta1 Ta 0.0000 0.0000 0.0000 1
Ta2 Ta 0.0433 0.3650 0.6350 1
Ta3 Ta 0.1761 0.1761 0.1761 1
Al1 Al 0.0909 0.0909 0.7227 1
```


Entry 5:
This entry pairs a crystal structure of Ni2AuN2 with its simulated X-ray diffraction stick pattern. Radiation: Cu Kα. Structure: a DFT-relaxed cell (PBE, OQMD).
Intensities are scaled so that the largest is 1000.

Peak list (8 most intense, 2θ = 10–90°, in order of falling intensity)
- 2θ = 35.1°, d 2.557, rel. 1000, hkl 1 0 2
- 2θ = 42.8°, d 2.114, rel. 585, hkl 1 0 4
- 2θ = 13.6°, d 6.511, rel. 353, hkl 0 0 2
- 2θ = 57.4°, d 1.605, rel. 259, hkl 1 1 0
- 2θ = 73.4°, d 1.291, rel. 237, hkl 1 1 6
- 2θ = 41.6°, d 2.170, rel. 224, hkl 0 0 6
- 2θ = 32.2°, d 2.780, rel. 156, hkl 1 0 0
- 2θ = 66.6°, d 1.405, rel. 146, hkl 1 0 8

Cell and atoms:
```
data_Ni2AuN2
_cell_length_a 3.2102
_cell_length_b 3.2102
_cell_length_c 13.0224
_cell_angle_alpha 90.00
_cell_angle_beta 90.00
_cell_angle_gamma 120.00
_space_group_name_H-M_alt 'P 63/m m c'
_space_group_IT_number 194
_space_group_name_Hall '-P 6c 2c'
loop_
_atom_site_label
_atom_site_type_symbol
_atom_site_fract_x
_atom_site_fract_y
_atom_site_fract_z
_atom_site_occupancy
Ni1 Ni 0.3333 0.6667 0.0873 1
Au1 Au 0.0000 0.0000 0.2500 1
N1 N 0.3333 0.6667 0.5675 1
```


Entry 6:
This entry pairs a crystal structure of Zr3AgS6 with its simulated X-ray diffraction stick pattern. Radiation: Cu Kα. Structure: a DFT-relaxed cell (PBE, OQMD).
Intensities are scaled so that the largest is 1000.

Peak list (8 most intense, 2θ = 10–90°, in order of falling intensity)
- 2θ = 40.0°, d 2.257, rel. 1000, hkl 1 1 6
- 2θ = 28.3°, d 3.155, rel. 531, hkl 1 1 0
- 2θ = 31.6°, d 2.835, rel. 445, hkl 1 1 3
- 2θ = 50.1°, d 1.821, rel. 387, hkl 3 0 0
- 2θ = 13.7°, d 6.459, rel. 371, hkl 0 0 3
- 2θ = 16.9°, d 5.259, rel. 227, hkl 1 0 1
- 2θ = 65.9°, d 1.417, rel. 213, hkl 4 -2 6
- 2θ = 87.1°, d 1.119, rel. 201, hkl 4 1 6

Cell and atoms:
```
data_Zr3AgS6
_cell_length_a 6.3091
_cell_length_b 6.3091
_cell_length_c 19.3766
_cell_angle_alpha 90.00
_cell_angle_beta 90.00
_cell_angle_gamma 120.00
_space_group_name_H-M_alt 'R -3'
_space_group_IT_number 148
_space_group_name_Hall '-R 3'
loop_
_atom_site_label
_atom_site_type_symbol
_atom_site_fract_x
_atom_site_fract_y
_atom_site_fract_z
_atom_site_occupancy
Zr1 Zr 0.0000 0.0000 0.0000 1
Zr2 Zr 0.0000 0.0000 0.3329 1
Ag1 Ag 0.0000 0.0000 0.5000 1
S1 S 0.9999 0.3366 0.5882 1
```